# 1
Theoretical powder diffractogram
Compound: SmPuF
Radiation: copper Kα
Structure: DFT lattice parameters and positions (PBE)

Principal peaks in the range 2θ = 10–90°, in order of falling intensity:
- 38.2°, rel. 100, hkl 1 1 3
- 18.3°, rel. 79, hkl 0 0 6
- 41.6°, rel. 72, hkl 1 1 6
- 30.2°, rel. 43, hkl 1 0 7
- 37.1°, rel. 39, hkl 0 0 12
- 26.1°, rel. 39, hkl 0 1 5
- 46.8°, rel. 37, hkl 2 -1 9
- 61.2°, rel. 36, hkl 1 1 15
- 27.6°, rel. 33, hkl 0 0 9
- 37.0°, rel. 30, hkl 1 1 0

Atomic structure:
abc: 4.8608 4.8608 29.0604
angles: 90.00 90.00 120.00
Space group R3 (No. 146, hexagonal axes)
Unique sites:
Sm1 0.0000 0.0000 0.0000 [3 per cell]
Sm2 0.0000 0.0000 0.1432 [3 per cell]
Sm3 0.0000 0.0000 0.4038 [3 per cell]
Pu1 0.0620 0.3417 0.2434 [9 per cell]
F1 0.1658 0.3372 0.7394 [9 per cell]

---

# 2
Theoretical powder diffractogram
Compound: BaAg2F4
Radiation: copper Kα
Structure: DFT lattice parameters and positions (PBE)

Principal peaks in the range 2θ = 10–90°, in order of falling intensity:
- 31.0°, rel. 100, hkl 1 2 1
- 25.9°, rel. 61, hkl 1 0 3
- 30.7°, rel. 56, hkl 2 0 2
- 49.2°, rel. 37, hkl 2 2 4
- 24.0°, rel. 34, hkl 1 1 2
- 39.8°, rel. 29, hkl 1 0 5
- 50.1°, rel. 27, hkl 2 3 1
- 46.9°, rel. 23, hkl 3 0 3
- 45.8°, rel. 17, hkl 3 1 2
- 64.6°, rel. 15, hkl 4 2 2

Atomic structure:
abc: 6.642 6.642 12.040
angles: 90.00 90.00 90.00
Space group I4_1/a (No. 88, origin choice 2)
Unique sites:
Ba1 0.000 0.250 0.125 [4 per cell]
Ag1 0.000 0.000 0.500 [8 per cell]
F1 0.170 0.446 0.300 [16 per cell]